No. 1
Theoretical powder diffractogram
Compound: Ge3Pb5Br16
Radiation: CuKα
Structure: a crystal structure in Alexandria, relaxed with GGA-PBE
Neutral-atom scattering factors, no anomalous dispersion.

Atomic structure:
```
Ge3Pb5Br16
1.0
7.5374 -4.2782 0.0000
7.5374 4.2782 0.0000
-0.2580 0.0000 13.8987
Ge Pb Br
3 5 16
Direct
0.0000 0.0000 0.0000
0.1719 0.6692 0.4935
0.6692 0.1719 0.4935
0.9997 0.4970 0.9893
0.1609 0.1609 0.2615
0.4911 0.4911 0.7551
0.4970 0.9997 0.9893
0.6687 0.6687 0.4890
0.1565 0.6758 0.8757
0.1621 0.1621 0.8693
0.3076 0.8464 0.1132
0.3189 0.8122 0.6127
0.3196 0.3196 0.1271
0.3419 0.3419 0.6030
0.4928 0.4928 0.3777
0.5153 0.9984 0.3678
0.6732 0.6732 0.8539
0.6758 0.1565 0.8757
0.8122 0.3189 0.6127
0.8464 0.3076 0.1132
0.8473 0.8473 0.6031
0.8537 0.8537 0.1106
0.9925 0.9925 0.3846
0.9984 0.5153 0.3678
```

Principal peaks in the range 10 to 90 degrees two-theta, low angle first:
13.46°, I = 87; 13.55°, I = 64; 24.40°, I = 73; 27.10°, I = 65; 27.29°, I = 69; 30.68°, I = 55; 30.93°, I = 95; 40.69°, I = 59; 41.70°, I = 100; 42.25°, I = 52



No. 2
Theoretical powder diffractogram
Compound: PmIBrO4
Radiation: CuKα
Structure: a crystal structure in Alexandria, relaxed with GGA-PBE
Neutral-atom scattering factors, no anomalous dispersion.

Atomic structure:
```
PmIBrO4
1.0
5.5966 -3.5241 0.0000
5.5966 3.5241 0.0000
-0.3747 0.0000 6.6454
Pm I Br O
2 2 2 8
Direct
0.2330 0.2330 0.1685
0.7670 0.7670 0.8315
0.1242 0.1242 0.6649
0.8758 0.8758 0.3351
0.4423 0.4423 0.8387
0.5577 0.5577 0.1613
0.0128 0.6344 0.1532
0.0441 0.0441 0.2432
0.2748 0.2748 0.5196
0.3656 0.9872 0.8468
0.6344 0.0128 0.1532
0.7252 0.7252 0.4804
0.9559 0.9559 0.7568
0.9872 0.3656 0.8468
```

Principal peaks in the range 10 to 90 degrees two-theta, low angle first:
15.86°, I = 24; 20.31°, I = 21; 25.27°, I = 100; 26.83°, I = 22; 27.07°, I = 34; 29.67°, I = 66; 30.90°, I = 48; 31.21°, I = 38; 43.93°, I = 21; 58.42°, I = 23